Record 1
Structure and simulated X-ray powder pattern of Cu4Bi7S12 (a DFT-relaxed cell (PBE, Alexandria); CuKα).
Kinematic intensities with the Lorentz-polarization factor, no thermal factor.

The 8 most intense peaks (2θ from 5° to 70°), low angle first:
2theta  I/Imax  (hkl)
23.70  51  4 0 -3
23.95  35  2 0 -4
26.91  47  3 1 0
27.87  40  2 0 4
28.27  56  3 1 1
28.63  100  1 1 -3
32.67  50  1 1 -4
45.75  42  0 2 0

Crystal structure
Cell: 18.4960 3.9653 15.1766 Å, 90.00 102.21 90.00°
Space group C2/m (No. 12)
Unique sites:
Cu 0.0931 0.0000 0.4956 x4
Cu 0.1668 0.0000 0.1406 x4
Bi 0.0000 0.5000 0.0000 x2
Bi 0.0068 0.5000 0.7208 x4
Bi 0.1708 0.0000 0.9090 x4
Bi 0.2370 0.5000 0.3711 x4
S 0.0193 0.0000 0.8763 x4
S 0.0221 0.0000 0.6074 x4
S 0.1503 0.0000 0.2825 x4
S 0.1563 0.5000 0.7811 x4
S 0.1610 0.5000 0.0600 x4
S 0.1614 0.5000 0.4996 x4


Record 2
Structure and simulated X-ray powder pattern of Na8Te6As (a DFT-relaxed cell (PBE, Alexandria); CuKα).
Kinematic intensities with the Lorentz-polarization factor, no thermal factor.

The 8 most intense peaks (2θ from 5° to 70°), low angle first:
2theta  I/Imax  (hkl)
19.75  74  1 1 2
22.87  75  1 2 1
23.33  46  1 0 3
23.45  91  2 1 1
23.85  88  0 2 2
24.60  88  2 0 2
40.11  100  2 2 4
41.01  45  4 0 0

Crystal structure
Cell: 8.8086 9.2242 12.6921 Å, 90.00 90.00 90.00°
Space group Pmn2_1 (No. 31)
Unique sites:
Na 0.0000 0.1207 0.0000 x2
Na 0.0000 0.2453 0.4439 x2
Na 0.1795 0.6227 0.1125 x4
Na 0.1966 0.5694 0.8095 x4
Na 0.2324 0.9241 0.7590 x4
Te 0.0000 0.3068 0.2096 x2
Te 0.0000 0.5118 0.5911 x2
Te 0.0000 0.7810 0.9378 x2
Te 0.0000 0.9801 0.5801 x2
Te 0.2445 0.2437 0.8376 x4
As 0.0000 0.7485 0.4564 x2


Record 3
Structure and simulated X-ray powder pattern of Ga13Hg2 (a DFT-relaxed cell (PBE, Alexandria); CuKα).
Kinematic intensities with the Lorentz-polarization factor, no thermal factor.

The 8 most intense peaks (2θ from 5° to 70°), low angle first:
2theta  I/Imax  (hkl)
14.39  100  1 0 1
23.44  50  0 1 5
26.74  57  1 1 3
33.32  71  1 1 6
37.52  60  2 1 1
41.69  58  2 0 8
44.15  49  0 3 3
44.51  44  0 1 11

Crystal structure
Cell: 7.3605 7.3605 23.6259 Å, 90.00 90.00 120.00°
Space group R-3m (No. 166, hexagonal axes)
Unique sites:
Ga 0.0000 0.0000 0.0000 x3
Ga 0.0409 0.5204 0.5784 x18
Ga 0.0867 0.5434 0.3037 x18
Hg 0.0000 0.0000 0.1823 x6


Record 4
Structure and simulated X-ray powder pattern of Sc5Ge2Pd12 (a DFT-relaxed cell (PBE, Alexandria); CuKα).
Kinematic intensities with the Lorentz-polarization factor, no thermal factor.

The 8 most intense peaks (2θ from 5° to 70°), low angle first:
2theta  I/Imax  (hkl)
37.50  100  2 2 -2
38.21  42  3 1 2
39.62  55  1 3 -1
40.87  88  4 2 1
41.97  42  6 0 -1
44.61  29  2 0 3
51.44  32  5 3 0
69.11  21  1 3 4

Crystal structure
Cell: 13.1232 7.3068 6.7986 Å, 90.00 98.29 90.00°
Space group C2/m (No. 12)
Unique sites:
Sc 0.0000 0.0000 0.0000 x2
Sc 0.1700 0.5000 0.4361 x4
Sc 0.2491 0.0000 0.0600 x4
Ge 0.0000 0.2151 0.5000 x4
Pd 0.0432 0.5000 0.7316 x4
Pd 0.1062 0.3022 0.0936 x8
Pd 0.1298 0.0000 0.3614 x4
Pd 0.1779 0.1972 0.7197 x8


Record 5
Structure and simulated X-ray powder pattern of Tb11S16 (a DFT-relaxed cell (PBE, Alexandria); CuKα).
Kinematic intensities with the Lorentz-polarization factor, no thermal factor.

The 8 most intense peaks (2θ from 5° to 70°), low angle first:
2theta  I/Imax  (hkl)
26.08  100  1 4 1
26.17  53  1 2 2
33.79  49  1 6 0
33.90  49  3 2 0
34.04  41  0 2 3
40.30  42  3 4 1
40.44  40  2 2 3
51.23  23  2 6 3

Crystal structure
Cell: 8.3632 16.7875 8.3233 Å, 90.00 90.00 90.00°
Space group P2_12_12 (No. 18)
Unique sites:
Tb 0.0000 0.0000 0.1414 x2
Tb 0.0068 0.7512 0.3793 x4
Tb 0.1210 0.6232 0.7635 x4
Tb 0.1369 0.1199 0.7630 x4
Tb 0.2418 0.4406 0.4728 x4
Tb 0.2492 0.3189 0.9992 x4
S 0.0589 0.0900 0.4448 x4
S 0.0734 0.1572 0.0819 x4
S 0.0741 0.6697 0.0758 x4
S 0.0784 0.5933 0.4389 x4
S 0.1705 0.2815 0.6842 x4
S 0.1726 0.9611 0.8407 x4
S 0.1839 0.4627 0.7962 x4
S 0.1880 0.7842 0.6798 x4


Record 6
Structure and simulated X-ray powder pattern of Tb2Pm5PrSc (a DFT-relaxed cell (PBE, Alexandria); CuKα).
Kinematic intensities with the Lorentz-polarization factor, no thermal factor.

The 8 most intense peaks (2θ from 5° to 70°), low angle first:
2theta  I/Imax  (hkl)
26.65  25  1 3 2
27.73  15  0 6 1
30.35  36  1 1 3
31.63  44  2 0 0
32.06  100  1 5 2
34.15  12  0 0 4
56.60  21  3 5 2
61.45  13  2 6 5

Crystal structure
Cell: 5.6574 20.2759 10.5021 Å, 90.00 90.00 90.00°
Space group Cmc2_1 (No. 36)
Unique sites:
Tb 0.0000 0.1135 0.0000 x4
Tb 0.0000 0.1160 0.4242 x4
Pm 0.0000 0.0165 0.7047 x4
Pm 0.0000 0.2759 0.0099 x4
Pm 0.0000 0.2969 0.3956 x4
Pm 0.0000 0.3749 0.7078 x4
Pm 0.0000 0.4840 0.4316 x4
Pr 0.0000 0.4090 0.1474 x4
Sc 0.0000 0.1956 0.7028 x4


What did the fourth record say?
Structure and simulated X-ray powder pattern of Sc5Ge2Pd12 (a DFT-relaxed cell (PBE, Alexandria); CuKα).
Kinematic intensities with the Lorentz-polarization factor, no thermal factor.

The 8 most intense peaks (2θ from 5° to 70°), low angle first:
2theta  I/Imax  (hkl)
37.50  100  2 2 -2
38.21  42  3 1 2
39.62  55  1 3 -1
40.87  88  4 2 1
41.97  42  6 0 -1
44.61  29  2 0 3
51.44  32  5 3 0
69.11  21  1 3 4

Crystal structure
Cell: 13.1232 7.3068 6.7986 Å, 90.00 98.29 90.00°
Space group C2/m (No. 12)
Unique sites:
Sc 0.0000 0.0000 0.0000 x2
Sc 0.1700 0.5000 0.4361 x4
Sc 0.2491 0.0000 0.0600 x4
Ge 0.0000 0.2151 0.5000 x4
Pd 0.0432 0.5000 0.7316 x4
Pd 0.1062 0.3022 0.0936 x8
Pd 0.1298 0.0000 0.3614 x4
Pd 0.1779 0.1972 0.7197 x8